No. 1
Structure and calculated X-ray diffraction stick pattern of MgMn2O4 (a crystal structure in the Materials Project, relaxed with PBE+U; Cu Kα (weighted mean of Kα1 and Kα2)).
Kinematic intensities with the Lorentz-polarization factor, no thermal factor.

Crystal structure
Cell: 6.0372 6.0372 20.0613 Å, 98.63 98.63 60.22°
Fractional coordinates of all 56 atoms:
Mg (0.0000, 0.0000, 0.0000)
Mg (0.2502, 0.2502, 0.7497)
Mg (0.4775, 0.4775, 0.9060)
Mg (0.4999, 0.4999, 0.4992)
Mg (0.6251, 0.6251, 0.3740)
Mg (0.7266, 0.7266, 0.6541)
Mg (0.7495, 0.7495, 0.2495)
Mg (0.8739, 0.8739, 0.1248)
Mn (0.0020, 0.5010, 0.0001)
Mn (0.0245, 0.0245, 0.5935)
Mn (0.1235, 0.1235, 0.8752)
Mn (0.2265, 0.2265, 0.1590)
Mn (0.2504, 0.7481, 0.7496)
Mn (0.2497, 0.7495, 0.2494)
Mn (0.2726, 0.2726, 0.3405)
Mn (0.3765, 0.3765, 0.6254)
Mn (0.4985, 0.9962, 0.4990)
Mn (0.5010, 0.0020, 0.0001)
Mn (0.5230, 0.5230, 0.0922)
Mn (0.7481, 0.2504, 0.7496)
Mn (0.7495, 0.2497, 0.2494)
Mn (0.7741, 0.7741, 0.8444)
Mn (0.9758, 0.9758, 0.4061)
Mn (0.9962, 0.4985, 0.4990)
O (0.0513, 0.0513, 0.1937)
O (0.0573, 0.0573, 0.6983)
O (0.0603, 0.5995, 0.1926)
O (0.1015, 0.5533, 0.6884)
O (0.1515, 0.6886, 0.0557)
O (0.1913, 0.1913, 0.0530)
O (0.1956, 0.6415, 0.5606)
O (0.1992, 0.1992, 0.5599)
O (0.3041, 0.3041, 0.9406)
O (0.3061, 0.8535, 0.9388)
O (0.3070, 0.3070, 0.4467)
O (0.3467, 0.8101, 0.4434)
O (0.3933, 0.9474, 0.8109)
O (0.4384, 0.8998, 0.3062)
O (0.4419, 0.4419, 0.8028)
O (0.4475, 0.4475, 0.3051)
O (0.5533, 0.1015, 0.6884)
O (0.5565, 0.5565, 0.6861)
O (0.5571, 0.5571, 0.1961)
O (0.5996, 0.0603, 0.1926)
O (0.6415, 0.1956, 0.5606)
O (0.6886, 0.1515, 0.0557)
O (0.6916, 0.6916, 0.5527)
O (0.6943, 0.6943, 0.0549)
O (0.8050, 0.8050, 0.4430)
O (0.8080, 0.8080, 0.9471)
O (0.8101, 0.3467, 0.4434)
O (0.8535, 0.3061, 0.9388)
O (0.8998, 0.4384, 0.3062)
O (0.9420, 0.9420, 0.3025)
O (0.9448, 0.9448, 0.8128)
O (0.9474, 0.3933, 0.8109)

The 12 most intense peaks (15 to 90 degrees two-theta), low angle first:
2θ = 18.00°, d = 4.929 Å, I 22.7
2θ = 29.57°, d = 3.021 Å, I 39.0
2θ = 34.79°, d = 2.579 Å, I 100.0
2θ = 34.89°, d = 2.572 Å, I 9.8
2θ = 42.28°, d = 2.137 Å, I 26.4
2θ = 52.40°, d = 1.746 Å, I 10.2
2θ = 55.83°, d = 1.647 Å, I 19.6
2θ = 55.91°, d = 1.644 Å, I 17.0
2θ = 56.01°, d = 1.642 Å, I 6.3
2θ = 61.26°, d = 1.513 Å, I 27.4
2θ = 61.41°, d = 1.510 Å, I 26.4
2θ = 87.62°, d = 1.114 Å, I 7.2


No. 2
Structure and calculated X-ray diffraction stick pattern of LiCoBO3 (a crystal structure in the Materials Project, relaxed with PBE+U; Cu Kα (weighted mean of Kα1 and Kα2)).
Kinematic intensities with the Lorentz-polarization factor, no thermal factor.

Crystal structure
Cell: 5.2371 8.4239 6.6577 Å, 90.00 111.90 90.00°
Fractional coordinates of all 24 atoms:
Li (0.1697, 0.0532, 0.3989)
Li (0.1697, 0.4468, 0.8989)
Li (0.8303, 0.5532, 0.1011)
Li (0.8303, 0.9468, 0.6011)
Co (0.3915, 0.7181, 0.2766)
Co (0.3915, 0.7819, 0.7766)
Co (0.6085, 0.2181, 0.2234)
Co (0.6085, 0.2819, 0.7234)
B (0.1792, 0.1263, 0.8018)
B (0.1792, 0.3737, 0.3018)
B (0.8208, 0.6263, 0.6982)
B (0.8208, 0.8737, 0.1982)
O (0.0884, 0.6352, 0.7159)
O (0.0884, 0.8648, 0.2159)
O (0.2583, 0.0004, 0.7038)
O (0.2583, 0.4996, 0.2038)
O (0.3717, 0.2476, 0.9020)
O (0.3717, 0.2524, 0.4020)
O (0.6282, 0.7476, 0.5980)
O (0.6282, 0.7524, 0.0980)
O (0.7417, 0.9996, 0.2962)
O (0.7417, 0.5004, 0.7962)
O (0.9116, 0.1352, 0.7841)
O (0.9116, 0.3648, 0.2841)

The 12 most intense peaks (15 to 90 degrees two-theta), low angle first:
2θ = 18.26°, d = 4.859 Å, I 50.9
2θ = 21.10°, d = 4.211 Å, I 100.0
2θ = 21.36°, d = 4.159 Å, I 22.8
2θ = 28.04°, d = 3.183 Å, I 70.3
2θ = 28.23°, d = 3.161 Å, I 22.1
2θ = 28.91°, d = 3.089 Å, I 82.5
2θ = 29.84°, d = 2.994 Å, I 55.8
2θ = 34.72°, d = 2.584 Å, I 18.9
2θ = 39.16°, d = 2.301 Å, I 32.6
2θ = 45.65°, d = 1.987 Å, I 22.2
2θ = 47.03°, d = 1.932 Å, I 18.6
2θ = 56.45°, d = 1.630 Å, I 21.1


No. 3
Structure and calculated X-ray diffraction stick pattern of VPO4 (a crystal structure in the Materials Project, relaxed with PBE+U; Cu Kα (weighted mean of Kα1 and Kα2)).
Kinematic intensities with the Lorentz-polarization factor, no thermal factor.

Crystal structure
Cell: 8.5713 8.5713 8.5713 Å, 60.43 60.43 60.43°
Fractional coordinates of all 36 atoms:
V (0.0000, 0.0000, 0.0000)
V (0.1435, 0.1435, 0.1435)
V (0.3565, 0.3565, 0.3565)
V (0.5000, 0.5000, 0.5000)
V (0.6435, 0.6435, 0.6435)
V (0.8565, 0.8565, 0.8565)
P (0.0429, 0.7500, 0.4571)
P (0.2500, 0.5429, 0.9571)
P (0.4571, 0.0429, 0.7500)
P (0.5429, 0.9571, 0.2500)
P (0.7500, 0.4571, 0.0429)
P (0.9571, 0.2500, 0.5429)
O (0.0026, 0.8166, 0.6129)
O (0.0595, 0.9114, 0.2598)
O (0.0886, 0.7402, 0.9405)
O (0.1129, 0.3166, 0.5026)
O (0.1834, 0.3871, 0.9974)
O (0.2402, 0.5886, 0.4405)
O (0.2598, 0.0595, 0.9114)
O (0.3166, 0.5026, 0.1129)
O (0.3871, 0.9974, 0.1834)
O (0.4114, 0.5595, 0.7598)
O (0.4405, 0.2402, 0.5886)
O (0.4974, 0.8871, 0.6834)
O (0.5026, 0.1129, 0.3166)
O (0.5595, 0.7598, 0.4114)
O (0.5886, 0.4405, 0.2402)
O (0.6129, 0.0026, 0.8166)
O (0.6834, 0.4974, 0.8871)
O (0.7402, 0.9405, 0.0886)
O (0.7598, 0.4114, 0.5595)
O (0.8166, 0.6129, 0.0026)
O (0.8871, 0.6834, 0.4974)
O (0.9114, 0.2598, 0.0595)
O (0.9405, 0.0886, 0.7402)
O (0.9974, 0.1834, 0.3871)

The 12 most intense peaks (15 to 90 degrees two-theta), low angle first:
2θ = 20.59°, d = 4.313 Å, I 61.0
2θ = 20.73°, d = 4.285 Å, I 9.2
2θ = 24.26°, d = 3.669 Å, I 100.0
2θ = 25.32°, d = 3.518 Å, I 14.6
2θ = 31.98°, d = 2.798 Å, I 15.8
2θ = 33.03°, d = 2.712 Å, I 55.7
2θ = 36.07°, d = 2.490 Å, I 31.5
2θ = 47.37°, d = 1.919 Å, I 25.7
2θ = 49.70°, d = 1.834 Å, I 21.4
2θ = 56.45°, d = 1.630 Å, I 20.6
2θ = 56.67°, d = 1.624 Å, I 12.3
2θ = 62.93°, d = 1.477 Å, I 14.7


No. 4
Structure and calculated X-ray diffraction stick pattern of Li2MnSiO4 (a crystal structure in the Materials Project, relaxed with PBE+U; Cu Kα (weighted mean of Kα1 and Kα2)).
Kinematic intensities with the Lorentz-polarization factor, no thermal factor.

Crystal structure
Cell: 5.0753 5.5121 8.1411 Å, 90.00 128.41 90.00°
Fractional coordinates of all 16 atoms:
Li (0.0000, 0.1516, 0.0000)
Li (0.0000, 0.8484, 0.5000)
Li (0.2519, 0.3164, 0.7524)
Li (0.2519, 0.6836, 0.2524)
Mn (0.7473, 0.3330, 0.2460)
Mn (0.7473, 0.6670, 0.7460)
Si (0.4948, 0.1707, 0.5007)
Si (0.4948, 0.8293, 0.0007)
O (0.1746, 0.1736, 0.5062)
O (0.1746, 0.8264, 0.0062)
O (0.3768, 0.3205, 0.2869)
O (0.3768, 0.6795, 0.7869)
O (0.5984, 0.1118, 0.9947)
O (0.5984, 0.8882, 0.4947)
O (0.8211, 0.3060, 0.7153)
O (0.8211, 0.6940, 0.2153)

The 12 most intense peaks (15 to 90 degrees two-theta), low angle first:
2θ = 21.30°, d = 4.171 Å, I 82.3
2θ = 22.39°, d = 3.971 Å, I 100.0
2θ = 27.68°, d = 3.223 Å, I 24.7
2θ = 32.45°, d = 2.759 Å, I 92.3
2θ = 35.37°, d = 2.538 Å, I 53.6
2θ = 35.48°, d = 2.530 Å, I 18.6
2θ = 37.08°, d = 2.424 Å, I 63.9
2θ = 41.67°, d = 2.167 Å, I 22.1
2θ = 48.79°, d = 1.866 Å, I 18.5
2θ = 57.92°, d = 1.592 Å, I 32.4
2θ = 64.67°, d = 1.441 Å, I 27.0
2θ = 69.73°, d = 1.349 Å, I 25.0


No. 5
Structure and calculated X-ray diffraction stick pattern of CoH2CO3 (a crystal structure in the Materials Project, relaxed with PBE+U; Cu Kα (weighted mean of Kα1 and Kα2)).
Kinematic intensities with the Lorentz-polarization factor, no thermal factor.

Crystal structure
Cell: 7.7599 7.7599 7.7599 Å, 96.33 96.33 96.33°
Fractional coordinates of all 42 atoms:
Co (0.2039, 0.5689, 0.4775)
Co (0.4311, 0.5225, 0.7961)
Co (0.4775, 0.2039, 0.5689)
Co (0.5225, 0.7961, 0.4311)
Co (0.5689, 0.4775, 0.2039)
Co (0.7961, 0.4311, 0.5225)
H (0.0311, 0.3499, 0.0974)
H (0.0974, 0.0311, 0.3499)
H (0.1808, 0.2931, 0.6008)
H (0.2931, 0.6009, 0.1808)
H (0.3499, 0.0974, 0.0311)
H (0.3992, 0.8192, 0.7069)
H (0.6008, 0.1808, 0.2931)
H (0.6501, 0.9026, 0.9689)
H (0.7069, 0.3992, 0.8192)
H (0.8192, 0.7069, 0.3992)
H (0.9026, 0.9689, 0.6501)
H (0.9689, 0.6501, 0.9026)
C (0.0769, 0.6182, 0.8275)
C (0.1725, 0.9231, 0.3818)
C (0.3818, 0.1725, 0.9231)
C (0.6182, 0.8275, 0.0769)
C (0.8275, 0.0769, 0.6182)
C (0.9231, 0.3818, 0.1725)
O (0.0379, 0.5874, 0.6613)
O (0.0877, 0.7755, 0.3851)
O (0.2245, 0.6149, 0.9123)
O (0.2891, 0.3563, 0.5741)
O (0.3387, 0.9621, 0.4126)
O (0.3563, 0.5741, 0.2891)
O (0.3851, 0.0877, 0.7755)
O (0.4126, 0.3387, 0.9621)
O (0.4259, 0.7109, 0.6437)
O (0.5741, 0.2891, 0.3563)
O (0.5874, 0.6613, 0.0379)
O (0.6149, 0.9123, 0.2245)
O (0.6437, 0.4259, 0.7109)
O (0.6613, 0.0379, 0.5874)
O (0.7109, 0.6437, 0.4259)
O (0.7755, 0.3851, 0.0877)
O (0.9123, 0.2245, 0.6149)
O (0.9621, 0.4126, 0.3387)

The 12 most intense peaks (15 to 90 degrees two-theta), low angle first:
2θ = 19.24°, d = 4.613 Å, I 94.5
2θ = 24.69°, d = 3.606 Å, I 100.0
2θ = 27.32°, d = 3.265 Å, I 81.2
2θ = 27.96°, d = 3.191 Å, I 51.8
2θ = 33.13°, d = 2.704 Å, I 91.5
2θ = 35.17°, d = 2.551 Å, I 47.2
2θ = 38.56°, d = 2.335 Å, I 91.3
2θ = 39.01°, d = 2.309 Å, I 65.8
2θ = 41.31°, d = 2.185 Å, I 88.1
2θ = 45.90°, d = 1.977 Å, I 55.8
2θ = 48.72°, d = 1.869 Å, I 46.5
2θ = 50.61°, d = 1.804 Å, I 60.2


No. 6
Structure and calculated X-ray diffraction stick pattern of CoH2O2 (a crystal structure in the Materials Project, relaxed with PBE+U; Cu Kα (weighted mean of Kα1 and Kα2)).
Kinematic intensities with the Lorentz-polarization factor, no thermal factor.

Crystal structure
Cell: 3.2202 3.2202 4.8042 Å, 92.72 92.72 59.51°
Fractional coordinates of all 5 atoms:
Co (0.0000, 0.0000, 0.0000)
H (0.3199, 0.3320, 0.5799)
H (0.6680, 0.6801, 0.4201)
O (0.3266, 0.3288, 0.7827)
O (0.6712, 0.6734, 0.2173)

The 12 most intense peaks (15 to 90 degrees two-theta), low angle first:
2θ = 18.50°, d = 4.797 Å, I 100.0
2θ = 32.06°, d = 2.791 Å, I 9.7
2θ = 32.27°, d = 2.774 Å, I 22.5
2θ = 36.34°, d = 2.472 Å, I 30.9
2θ = 37.91°, d = 2.374 Å, I 57.0
2θ = 48.68°, d = 1.870 Å, I 12.2
2θ = 49.56°, d = 1.839 Å, I 13.5
2θ = 51.01°, d = 1.790 Å, I 19.9
2θ = 57.29°, d = 1.608 Å, I 16.6
2θ = 57.67°, d = 1.598 Å, I 10.1
2θ = 59.78°, d = 1.547 Å, I 8.2
2θ = 66.72°, d = 1.402 Å, I 9.1


No. 7
Structure and calculated X-ray diffraction stick pattern of Mn3O2F4 (a crystal structure in the Materials Project, relaxed with PBE+U; Cu Kα (weighted mean of Kα1 and Kα2)).
Kinematic intensities with the Lorentz-polarization factor, no thermal factor.

Crystal structure
Cell: 4.8356 4.8356 9.4564 Å, 90.06 90.06 95.61°
Fractional coordinates of all 18 atoms:
Mn (0.0000, 0.0000, 0.0000)
Mn (0.0032, 0.0032, 0.6581)
Mn (0.4728, 0.4728, 0.8314)
Mn (0.5000, 0.5000, 0.5000)
Mn (0.5272, 0.5272, 0.1686)
Mn (0.9968, 0.9968, 0.3419)
O (0.1776, 0.1776, 0.8287)
O (0.1975, 0.1975, 0.4984)
O (0.8025, 0.8025, 0.5016)
O (0.8224, 0.8224, 0.1713)
F (0.2111, 0.2111, 0.1747)
F (0.3036, 0.6872, 0.6667)
F (0.3051, 0.6949, 0.0000)
F (0.3128, 0.6964, 0.3333)
F (0.6872, 0.3036, 0.6667)
F (0.6949, 0.3051, 0.0000)
F (0.6964, 0.3128, 0.3333)
F (0.7889, 0.7889, 0.8253)

The 12 most intense peaks (15 to 90 degrees two-theta), low angle first:
2θ = 24.85°, d = 3.582 Å, I 100.0
2θ = 27.46°, d = 3.248 Å, I 82.2
2θ = 34.00°, d = 2.637 Å, I 89.4
2θ = 37.37°, d = 2.406 Å, I 13.4
2θ = 38.02°, d = 2.366 Å, I 18.5
2θ = 39.85°, d = 2.262 Å, I 17.2
2θ = 49.92°, d = 1.827 Å, I 67.2
2θ = 50.98°, d = 1.791 Å, I 19.8
2θ = 52.86°, d = 1.732 Å, I 45.3
2θ = 56.68°, d = 1.624 Å, I 13.3
2θ = 58.57°, d = 1.576 Å, I 17.2
2θ = 65.26°, d = 1.430 Å, I 40.3


No. 8
Structure and calculated X-ray diffraction stick pattern of Li9Mn2Co5O16 (a crystal structure in the Materials Project, relaxed with PBE+U; Cu Kα (weighted mean of Kα1 and Kα2)).
Kinematic intensities with the Lorentz-polarization factor, no thermal factor.

Crystal structure
Cell: 4.9996 7.7213 7.8591 Å, 98.73 99.78 103.42°
Fractional coordinates of all 32 atoms:
Li (0.0000, 0.0000, 0.0000)
Li (0.0000, 0.5000, 0.5000)
Li (0.0115, 0.2510, 0.7557)
Li (0.4937, 0.1300, 0.8777)
Li (0.4982, 0.3742, 0.6297)
Li (0.5000, 0.5000, 0.0000)
Li (0.5018, 0.6258, 0.3703)
Li (0.5063, 0.8700, 0.1223)
Li (0.9885, 0.7490, 0.2443)
Mn (0.9998, 0.3747, 0.1184)
Mn (0.0002, 0.6253, 0.8816)
Co (0.0042, 0.8735, 0.6256)
Co (0.4972, 0.2532, 0.2455)
Co (0.5000, 0.0000, 0.5000)
Co (0.5028, 0.7468, 0.7545)
Co (0.9958, 0.1265, 0.3744)
O (0.2153, 0.6138, 0.1080)
O (0.2299, 0.2572, 0.0058)
O (0.2347, 0.3728, 0.3488)
O (0.2487, 0.8586, 0.8697)
O (0.2517, 0.7704, 0.5024)
O (0.2537, 0.5238, 0.7513)
O (0.2546, 0.0254, 0.2550)
O (0.2558, 0.1178, 0.6149)
O (0.7442, 0.8822, 0.3851)
O (0.7454, 0.9746, 0.7450)
O (0.7463, 0.4762, 0.2487)
O (0.7483, 0.2296, 0.4976)
O (0.7513, 0.1414, 0.1303)
O (0.7653, 0.6272, 0.6512)
O (0.7701, 0.7428, 0.9942)
O (0.7847, 0.3862, 0.8920)

The 12 most intense peaks (15 to 90 degrees two-theta), low angle first:
2θ = 18.39°, d = 4.824 Å, I 100.0
2θ = 35.03°, d = 2.562 Å, I 16.4
2θ = 36.57°, d = 2.457 Å, I 13.4
2θ = 36.64°, d = 2.453 Å, I 12.3
2θ = 37.88°, d = 2.375 Å, I 7.5
2θ = 42.19°, d = 2.142 Å, I 30.8
2θ = 44.38°, d = 2.041 Å, I 26.0
2θ = 44.49°, d = 2.036 Å, I 25.9
2θ = 47.64°, d = 1.909 Å, I 9.5
2θ = 62.86°, d = 1.478 Å, I 15.2
2θ = 63.01°, d = 1.475 Å, I 15.2
2θ = 65.39°, d = 1.427 Å, I 7.0


Repeat the seventh record exactly.
Structure and calculated X-ray diffraction stick pattern of Mn3O2F4 (a crystal structure in the Materials Project, relaxed with PBE+U; Cu Kα (weighted mean of Kα1 and Kα2)).
Kinematic intensities with the Lorentz-polarization factor, no thermal factor.

Crystal structure
Cell: 4.8356 4.8356 9.4564 Å, 90.06 90.06 95.61°
Fractional coordinates of all 18 atoms:
Mn (0.0000, 0.0000, 0.0000)
Mn (0.0032, 0.0032, 0.6581)
Mn (0.4728, 0.4728, 0.8314)
Mn (0.5000, 0.5000, 0.5000)
Mn (0.5272, 0.5272, 0.1686)
Mn (0.9968, 0.9968, 0.3419)
O (0.1776, 0.1776, 0.8287)
O (0.1975, 0.1975, 0.4984)
O (0.8025, 0.8025, 0.5016)
O (0.8224, 0.8224, 0.1713)
F (0.2111, 0.2111, 0.1747)
F (0.3036, 0.6872, 0.6667)
F (0.3051, 0.6949, 0.0000)
F (0.3128, 0.6964, 0.3333)
F (0.6872, 0.3036, 0.6667)
F (0.6949, 0.3051, 0.0000)
F (0.6964, 0.3128, 0.3333)
F (0.7889, 0.7889, 0.8253)

The 12 most intense peaks (15 to 90 degrees two-theta), low angle first:
2θ = 24.85°, d = 3.582 Å, I 100.0
2θ = 27.46°, d = 3.248 Å, I 82.2
2θ = 34.00°, d = 2.637 Å, I 89.4
2θ = 37.37°, d = 2.406 Å, I 13.4
2θ = 38.02°, d = 2.366 Å, I 18.5
2θ = 39.85°, d = 2.262 Å, I 17.2
2θ = 49.92°, d = 1.827 Å, I 67.2
2θ = 50.98°, d = 1.791 Å, I 19.8
2θ = 52.86°, d = 1.732 Å, I 45.3
2θ = 56.68°, d = 1.624 Å, I 13.3
2θ = 58.57°, d = 1.576 Å, I 17.2
2θ = 65.26°, d = 1.430 Å, I 40.3